No. 1
Li2Mn3NbO8: theoretical X-ray powder pattern (Cu Ka), based on a cell relaxed with PBE+U.
Peak positions follow from Bragg's law for the DFT cell and can differ from measured ones.

Largest 10 diffraction maxima, by angle, 2θ from 10° to 90°:
| h k l | 2θ (°) | I (rel.) |
| --- | --- | --- |
| 1 1 1 | 17.79 | 100 |
| 3 1 1 | 34.45 | 49 |
| 2 2 2 | 36.03 | 16 |
| 4 0 0 | 41.85 | 54 |
| 3 3 1 | 45.81 | 12 |
| 5 1 1 | 55.28 | 21 |
| 4 4 0 | 60.67 | 33 |
| 5 3 1 | 63.77 | 15 |
| 6 2 2 | 72.63 | 9 |
| 4 4 4 | 76.42 | 9 |

Structural model:
Lattice parameters (Å, degrees): 8.6345 8.6345 8.6345 90.00 90.00 90.00
Space group P4_332 (No. 212)
Asymmetric unit:
Li: 0.0072 0.0072 0.0072 [8 per cell]
Mn: 0.1231 0.1269 0.6250 [12 per cell]
Nb: 0.1250 0.8750 0.3750 [4 per cell]
O: 0.1034 0.1084 0.3721 [24 per cell]
O: 0.1091 0.6091 0.8909 [8 per cell]



No. 2
U3Ni2O9F16: theoretical X-ray powder pattern (Cu Ka), based on a cell relaxed with PBE+U.
Peak positions follow from Bragg's law for the DFT cell and can differ from measured ones.

Largest 10 diffraction maxima, by angle, 2θ from 10° to 90°:
| h k l | 2θ (°) | I (rel.) |
| --- | --- | --- |
| 0 0 2 | 10.96 | 100 |
| 1 1 0 | 12.68 | 55 |
| 0 0 4 | 22.02 | 32 |
| 0 4 0 | 25.44 | 23 |
| 2 2 0 | 25.58 | 26 |
| 0 4 2 | 27.74 | 31 |
| 2 2 2 | 27.90 | 62 |
| 2 2 4 | 34.00 | 17 |
| 2 2 6 | 42.45 | 18 |
| 2 6 4 | 50.54 | 18 |

Structural model:
Lattice parameters (Å, degrees): 8.0249 14.0243 16.1479 90.00 90.00 90.00
Space group Cmcm (No. 63)
Asymmetric unit:
U: 0.0000 0.0056 0.2500 [4 per cell]
U: 0.2431 0.2509 0.2500 [8 per cell]
Ni: 0.0000 0.1660 0.5390 [8 per cell]
O: 0.0000 0.2885 0.0111 [8 per cell]
O: 0.0000 0.4758 0.7500 [4 per cell]
O: 0.0000 0.4794 0.1809 [8 per cell]
O: 0.1833 0.1030 0.0108 [16 per cell]
F: 0.0000 0.0459 0.6265 [8 per cell]
F: 0.0000 0.1621 0.7500 [4 per cell]
F: 0.0000 0.2778 0.1771 [8 per cell]
F: 0.0000 0.3189 0.7500 [4 per cell]
F: 0.1688 0.1109 0.1778 [16 per cell]
F: 0.1817 0.2271 0.6259 [16 per cell]
F: 0.2443 0.0848 0.7500 [8 per cell]



No. 3
Li9Mn2Co5O16: theoretical X-ray powder pattern (Cu Ka), based on a cell relaxed with PBE+U.
Peak positions follow from Bragg's law for the DFT cell and can differ from measured ones.

Largest 10 diffraction maxima, by angle, 2θ from 10° to 90°:
| h k l | 2θ (°) | I (rel.) |
| --- | --- | --- |
| 2 0 2 | 18.30 | 100 |
| 4 0 -4 | 35.51 | 14 |
| 3 1 -1 | 36.18 | 26 |
| 2 0 -6 | 42.95 | 28 |
| 5 1 1 | 43.80 | 54 |
| 1 1 5 | 47.58 | 13 |
| 7 1 3 | 57.65 | 9 |
| 3 1 7 | 62.84 | 15 |
| 7 1 -5 | 63.20 | 14 |
| 0 2 0 | 64.29 | 8 |

Structural model:
Lattice parameters (Å, degrees): 15.3033 2.8979 12.9964 90.00 92.45 90.00
Space group Cm (No. 8)
Asymmetric unit:
Li: 0.0000 0.0000 0.0000 [2 per cell]
Li: 0.0018 0.5000 0.4894 [2 per cell]
Li: 0.1312 0.5000 0.8703 [2 per cell]
Li: 0.1349 0.0000 0.3695 [2 per cell]
Li: 0.2504 0.5000 0.2552 [2 per cell]
Li: 0.2577 0.0000 0.7403 [2 per cell]
Li: 0.3206 0.0000 0.4321 [2 per cell]
Li: 0.3756 0.5000 0.6060 [2 per cell]
Li: 0.3807 0.0000 0.1207 [2 per cell]
Mn: 0.0690 0.0000 0.6795 [2 per cell]
Mn: 0.4375 0.5000 0.3110 [2 per cell]
Co: 0.0677 0.5000 0.1846 [2 per cell]
Co: 0.1922 0.0000 0.0580 [2 per cell]
Co: 0.2013 0.5000 0.5422 [2 per cell]
Co: 0.3139 0.5000 0.9309 [2 per cell]
Co: 0.4405 0.0000 0.8083 [2 per cell]
O: 0.0248 0.5000 0.3306 [2 per cell]
O: 0.0315 0.0000 0.8258 [2 per cell]
O: 0.1033 0.0000 0.5409 [2 per cell]
O: 0.1069 0.5000 0.0357 [2 per cell]
O: 0.1497 0.5000 0.7106 [2 per cell]
O: 0.1536 0.0000 0.2131 [2 per cell]
O: 0.2183 0.5000 0.4072 [2 per cell]
O: 0.2258 0.0000 0.9008 [2 per cell]
O: 0.2753 0.5000 0.0820 [2 per cell]
O: 0.2813 0.0000 0.5880 [2 per cell]
O: 0.3557 0.5000 0.7797 [2 per cell]
O: 0.3574 0.0000 0.2767 [2 per cell]
O: 0.4073 0.0000 0.9587 [2 per cell]
O: 0.4149 0.5000 0.4481 [2 per cell]
O: 0.4761 0.5000 0.1602 [2 per cell]
O: 0.4840 0.0000 0.6538 [2 per cell]